(1)
Computed X-ray diffraction stick pattern
Compound: PmSm2Er6Tm
Radiation: Cu Kα (λ = 1.5418 Å)
Structure: DFT lattice parameters and positions (PBE)
Intensities are scaled so that the largest is 1000.

Peak list (6 most intense, 10 to 90 degrees two-theta, in order of rising 2θ)
| hkl | Position (°2θ) | Rel. int. |
| --- | --- | --- |
| 1 3 2 | 28.81 | 367 |
| 0 2 3 | 30.73 | 445 |
| 3 1 -1 | 30.85 | 617 |
| 1 5 0 | 31.54 | 499 |
| 2 2 2 | 31.82 | 1000 |
| 1 3 -3 | 33.88 | 602 |

Crystal structure
```
data_PmSm2Er6Tm
_chemical_formula_sum 'Pm4 Sm8 Er24 Tm4'
_symmetry_space_group_name_H-M 'C 1 2/c 1'
_symmetry_Int_Tables_number 15
_symmetry_space_group_name_Hall '-C 2yc'
_cell_length_a 8.9923
_cell_length_b 14.9631
_cell_length_c 9.5739
_cell_angle_alpha 90.00
_cell_angle_beta 98.22
_cell_angle_gamma 90.00
loop_
_atom_site_label
_atom_site_fract_x
_atom_site_fract_y
_atom_site_fract_z
Pm1 0.0000 0.0204 0.2500
Sm1 0.2483 0.0520 0.5443
Er1 0.0655 0.1905 0.9424
Er2 0.1001 0.3931 0.1185
Er3 0.2047 0.2244 0.3145
Tm1 0.0000 0.4081 0.7500
```


(2)
Computed X-ray diffraction stick pattern
Compound: Pm2Sm6ErTm
Radiation: Cu Kα (λ = 1.5418 Å)
Structure: DFT lattice parameters and positions (PBE)
Intensities are scaled so that the largest is 1000.

Peak list (6 most intense, 10 to 90 degrees two-theta, in order of rising 2θ)
| hkl | Position (°2θ) | Rel. int. |
| --- | --- | --- |
| 1 3 2 | 28.33 | 598 |
| 0 2 3 | 30.22 | 702 |
| 3 1 -1 | 30.33 | 876 |
| 1 5 0 | 30.94 | 757 |
| 2 2 2 | 31.33 | 1000 |
| 1 3 -3 | 33.28 | 830 |

Crystal structure
```
data_Pm2Sm6ErTm
_chemical_formula_sum 'Pm8 Sm24 Er4 Tm4'
_symmetry_space_group_name_H-M 'C 1 2/c 1'
_symmetry_Int_Tables_number 15
_symmetry_space_group_name_Hall '-C 2yc'
_cell_length_a 9.1386
_cell_length_b 15.2529
_cell_length_c 9.7296
_cell_angle_alpha 90.00
_cell_angle_beta 98.37
_cell_angle_gamma 90.00
loop_
_atom_site_label
_atom_site_fract_x
_atom_site_fract_y
_atom_site_fract_z
Pm1 0.2476 0.0510 0.0426
Sm1 0.0609 0.1854 0.4443
Sm2 0.1041 0.3947 0.6195
Sm3 0.2049 0.2215 0.8111
Er1 0.0000 0.0207 0.7500
Tm1 0.0000 0.4083 0.2500
```